Theoretical powder XRD pattern of La6ZnAg2 for Cu Kα, 1.54184 Å, from DFT lattice parameters and positions (PBE).

Crystal structure
Lattice parameters (Å, degrees): 5.5525 5.5525 10.3083 90.00 90.00 120.00
Space group P-3m1 (No. 164)
Asymmetric unit:
La 0.0000 0.0000 0.1845 (multiplicity 2)
La 0.3333 0.6667 0.0053 (multiplicity 2)
La 0.3333 0.6667 0.3877 (multiplicity 2)
Zn 0.0000 0.0000 0.5000 (multiplicity 1)
Ag 0.3333 0.6667 0.6990 (multiplicity 2)

Principal peaks in the range 2θ = 10–90°, in order of rising 2θ:
25.33 deg, I 12.8, (0 1 2); 32.01 deg, I 83.3, (1 0 3); 32.24 deg, I 100.0, (1 1 0); 46.08 deg, I 30.0, (0 2 3); 55.52 deg, I 7.7, (1 1 5); 56.91 deg, I 6.9, (0 1 6); 57.35 deg, I 30.9, (2 1 3); 57.50 deg, I 18.8, (3 0 0); 67.47 deg, I 11.5, (2 2 0); 76.63 deg, I 14.7, (1 3 3)